1.
Structure and theoretical X-ray diffraction stick pattern of Ag2SnAu (the PBE geometry in Alexandria; Cu Kα X-rays).

Cell and atoms:
```
data_Ag2SnAu
_chemical_formula_sum 'Ag4 Sn2 Au2'
_space_group_name_H-M_alt 'P 1 21/m 1'
_space_group_IT_number 11
_space_group_name_Hall '-P 2yb'
_cell_length_a 3.2327
_cell_length_b 9.1225
_cell_length_c 5.5403
_cell_angle_alpha 90.00
_cell_angle_beta 99.57
_cell_angle_gamma 90.00
loop_
_atom_site_label
_atom_site_fract_x
_atom_site_fract_y
_atom_site_fract_z
Ag1 0.1601 0.0115 0.2618
Sn1 0.4113 0.2500 0.9262
Au1 0.2991 0.7500 0.5529
```

Principal peaks in the range 15° ≤ 2θ ≤ 90°, low angle first:
| d_spacing | I (rel.) | (hkl) |
| --- | --- | --- |
| 2.830 | 33 | 1 1 -1 |
| 2.614 | 87 | 1 2 0 |
| 2.493 | 55 | 1 2 -1 |
| 2.477 | 42 | 1 1 1 |
| 2.344 | 100 | 0 2 2 |
| 2.281 | 66 | 0 4 0 |
| 2.241 | 27 | 1 2 1 |
| 2.201 | 36 | 1 1 -2 |
| 2.127 | 21 | 1 3 -1 |
| 1.312 | 19 | 2 4 -1 |

=====

2.
Structure and theoretical X-ray diffraction stick pattern of PmErNiIr (the PBE geometry in Alexandria; Cu Kα X-rays).

Cell and atoms:
```
data_PmErNiIr
_chemical_formula_sum 'Pm4 Er4 Ni4 Ir4'
_space_group_name_H-M_alt 'F -4 3 m'
_space_group_IT_number 216
_space_group_name_Hall 'F -4 2 3'
_cell_length_a 6.8840
_cell_length_b 6.8840
_cell_length_c 6.8840
_cell_angle_alpha 90.00
_cell_angle_beta 90.00
_cell_angle_gamma 90.00
loop_
_atom_site_label
_atom_site_fract_x
_atom_site_fract_y
_atom_site_fract_z
Pm1 0.0000 0.0000 0.0000
Er1 0.0000 0.0000 0.5000
Ni1 0.2500 0.2500 0.7500
Ir1 0.2500 0.2500 0.2500
```

Principal peaks in the range 15° ≤ 2θ ≤ 90°, low angle first:
| d_spacing | I (rel.) | (hkl) |
| --- | --- | --- |
| 3.975 | 11 | 1 1 1 |
| 3.442 | 1 | 2 0 0 |
| 2.434 | 100 | 2 2 0 |
| 2.076 | 6 | 3 1 1 |
| 1.721 | 18 | 4 0 0 |
| 1.579 | 3 | 3 3 1 |
| 1.405 | 36 | 4 2 2 |
| 1.325 | 2 | 5 1 1 |
| 1.217 | 11 | 4 4 0 |
| 1.164 | 2 | 5 3 1 |

=====

3.
Structure and theoretical X-ray diffraction stick pattern of Mg2Sc6Fe (the PBE geometry in Alexandria; Cu Kα X-rays).

Cell and atoms:
```
data_Mg2Sc6Fe
_chemical_formula_sum 'Mg4 Sc12 Fe2'
_space_group_name_H-M_alt 'A m m 2'
_space_group_IT_number 38
_space_group_name_Hall 'A 2 -2'
_cell_length_a 3.3917
_cell_length_b 14.3368
_cell_length_c 8.3966
_cell_angle_alpha 90.00
_cell_angle_beta 90.00
_cell_angle_gamma 90.00
loop_
_atom_site_label
_atom_site_fract_x
_atom_site_fract_y
_atom_site_fract_z
Mg1 0.0000 0.1705 0.0000
Sc1 0.0000 0.0000 0.7480
Sc2 0.0000 0.1132 0.3778
Sc3 0.5000 0.0000 0.1104
Sc4 0.5000 0.1819 0.6836
Fe1 0.5000 0.0000 0.5188
```

Principal peaks in the range 15° ≤ 2θ ≤ 90°, low angle first:
| d_spacing | I (rel.) | (hkl) |
| --- | --- | --- |
| 2.726 | 31 | 0 4 2 |
| 2.713 | 40 | 0 5 1 |
| 2.638 | 70 | 1 0 2 |
| 2.627 | 100 | 1 3 1 |
| 2.476 | 83 | 1 2 2 |
| 2.464 | 30 | 1 4 0 |
| 2.415 | 69 | 0 3 3 |
| 2.389 | 32 | 0 6 0 |
| 2.125 | 35 | 1 4 2 |
| 2.119 | 38 | 1 5 1 |

=====

4.
Structure and theoretical X-ray diffraction stick pattern of Sc4CdGa2Rh (the PBE geometry in Alexandria; Cu Kα X-rays).

Cell and atoms:
```
data_Sc4CdGa2Rh
_chemical_formula_sum 'Sc12 Cd3 Ga6 Rh3'
_space_group_name_H-M_alt 'R -3 m'
_space_group_IT_number 166
_space_group_name_Hall '-R 3 2"'
_cell_length_a 4.7771
_cell_length_b 4.7771
_cell_length_c 23.2669
_cell_angle_alpha 90.00
_cell_angle_beta 90.00
_cell_angle_gamma 120.00
loop_
_atom_site_label
_atom_site_fract_x
_atom_site_fract_y
_atom_site_fract_z
Sc1 0.0000 0.0000 0.1175
Sc2 0.0000 0.0000 0.3699
Cd1 0.0000 0.0000 0.5000
Ga1 0.0000 0.0000 0.2462
Rh1 0.0000 0.0000 0.0000
```

Principal peaks in the range 15° ≤ 2θ ≤ 90°, low angle first:
| d_spacing | I (rel.) | (hkl) |
| --- | --- | --- |
| 3.898 | 7 | 0 1 2 |
| 3.371 | 30 | 1 0 4 |
| 2.389 | 100 | 1 1 0 |
| 2.379 | 95 | 0 1 8 |
| 1.686 | 31 | 2 0 8 |
| 1.379 | 16 | 3 0 0 |
| 1.377 | 31 | 1 2 8 |
| 1.372 | 13 | 1 0 16 |
| 1.194 | 10 | 2 2 0 |
| 1.190 | 8 | 0 2 16 |

=====

5.
Structure and theoretical X-ray diffraction stick pattern of CsKBiSb (the PBE geometry in Alexandria; Cu Kα X-rays).

Cell and atoms:
```
data_CsKBiSb
_chemical_formula_sum 'Cs2 K2 Bi2 Sb2'
_space_group_name_H-M_alt 'I m m 2'
_space_group_IT_number 44
_space_group_name_Hall 'I 2 -2'
_cell_length_a 5.2412
_cell_length_b 6.5183
_cell_length_c 12.1654
_cell_angle_alpha 90.00
_cell_angle_beta 90.00
_cell_angle_gamma 90.00
loop_
_atom_site_label
_atom_site_fract_x
_atom_site_fract_y
_atom_site_fract_z
Cs1 0.0000 0.0000 0.0000
K1 0.0000 0.0000 0.3360
Bi1 0.0000 0.5000 0.2361
Sb1 0.0000 0.0000 0.6211
```

Principal peaks in the range 15° ≤ 2θ ≤ 90°, low angle first:
| d_spacing | I (rel.) | (hkl) |
| --- | --- | --- |
| 5.746 | 100 | 0 1 1 |
| 4.813 | 28 | 1 0 1 |
| 3.443 | 50 | 0 1 3 |
| 3.391 | 96 | 1 1 2 |
| 3.259 | 52 | 0 2 0 |
| 3.207 | 49 | 1 0 3 |
| 2.621 | 29 | 2 0 0 |
| 2.286 | 39 | 1 2 3 |
| 2.085 | 25 | 2 1 3 |
| 2.042 | 28 | 2 2 0 |

=====

6.
Structure and theoretical X-ray diffraction stick pattern of Cu3Bi4I16 (the PBE geometry in Alexandria; Cu Kα X-rays).

Cell and atoms:
```
data_Cu3Bi4I16
_chemical_formula_sum 'Cu6 Bi8 I32'
_space_group_name_H-M_alt 'C 1 m 1'
_space_group_IT_number 8
_space_group_name_Hall 'C -2y'
_cell_length_a 15.4638
_cell_length_b 8.7052
_cell_length_c 15.6343
_cell_angle_alpha 90.00
_cell_angle_beta 105.84
_cell_angle_gamma 90.00
loop_
_atom_site_label
_atom_site_fract_x
_atom_site_fract_y
_atom_site_fract_z
Cu1 0.0000 0.0000 0.0000
Cu2 0.0123 0.5000 0.0183
Cu3 0.1739 0.5000 0.2434
Bi1 0.0511 0.0000 0.7123
Bi2 0.0558 0.2535 0.4484
Bi3 0.2987 0.0000 0.9394
I1 0.1699 0.2418 0.3163
I2 0.1715 0.0000 0.0689
I3 0.1815 0.0000 0.5663
I4 0.1821 0.5000 0.0858
I5 0.1818 0.5000 0.5605
I6 0.1840 0.2475 0.8217
I7 0.4270 0.5000 0.8259
I8 0.4288 0.0000 0.3412
I9 0.4307 0.5000 0.3385
I10 0.4338 0.2521 0.0616
I11 0.4443 0.0000 0.8423
I12 0.4436 0.2460 0.5915
```

Principal peaks in the range 15° ≤ 2θ ≤ 90°, low angle first:
| d_spacing | I (rel.) | (hkl) |
| --- | --- | --- |
| 4.810 | 18 | 2 0 -3 |
| 3.762 | 22 | 0 0 4 |
| 3.563 | 27 | 2 2 -2 |
| 3.190 | 100 | 2 2 2 |
| 3.101 | 51 | 4 0 -4 |
| 2.344 | 24 | 4 0 4 |
| 2.232 | 44 | 2 2 -6 |
| 2.215 | 43 | 6 2 -2 |
| 2.175 | 29 | 0 4 0 |
| 1.781 | 22 | 4 4 -4 |

=====

7.
Structure and theoretical X-ray diffraction stick pattern of AlV12Au3 (the PBE geometry in Alexandria; Cu Kα X-rays).

Cell and atoms:
```
data_AlV12Au3
_chemical_formula_sum 'Al1 V12 Au3'
_space_group_name_H-M_alt 'P m m m'
_space_group_IT_number 47
_space_group_name_Hall '-P 2 2'
_cell_length_a 4.8570
_cell_length_b 4.8597
_cell_length_c 9.7216
_cell_angle_alpha 90.00
_cell_angle_beta 90.00
_cell_angle_gamma 90.00
loop_
_atom_site_label
_atom_site_fract_x
_atom_site_fract_y
_atom_site_fract_z
Al1 0.0000 0.0000 0.0000
V1 0.0000 0.2491 0.2438
V2 0.2441 0.5000 0.0000
V3 0.2524 0.5000 0.5000
V4 0.5000 0.0000 0.1265
V5 0.5000 0.0000 0.3779
Au1 0.0000 0.0000 0.5000
Au2 0.5000 0.5000 0.2505
```

Principal peaks in the range 15° ≤ 2θ ≤ 90°, low angle first:
| d_spacing | I (rel.) | (hkl) |
| --- | --- | --- |
| 4.859 | 11 | 0 1 0 |
| 4.346 | 10 | 0 1 1 |
| 3.436 | 58 | 1 0 2 |
| 2.430 | 46 | 2 0 0 |
| 2.173 | 36 | 0 1 4 |
| 1.984 | 100 | 2 1 2 |
| 1.718 | 9 | 0 2 4 |
| 1.537 | 13 | 1 0 6 |
| 1.299 | 49 | 3 1 4 |
| 1.215 | 10 | 4 0 0 |